This entry pairs a crystal structure of UCdMo4O16 with its theoretical XRD peak list. Radiation: copper Kα. Structure: a DFT-relaxed cell (PBE+U, Alexandria).
Lines closer than 0.1° are merged.

Cell and atoms:
```
data_UCdMo4O16
_chemical_formula_sum 'U2 Cd2 Mo8 O32'
_symmetry_space_group_name_H-M 'P 1 2/c 1'
_symmetry_Int_Tables_number 13
_cell_length_a 8.252
_cell_length_b 6.718
_cell_length_c 14.246
_cell_angle_alpha 90.00
_cell_angle_beta 125.11
_cell_angle_gamma 90.00
loop_
_symmetry_equiv_pos_as_xyz
'x,y,z'
'-x,-y,-z'
'-x,y,-z+1/2'
'x,-y,z+1/2'
loop_
_atom_site_label
_atom_site_fract_x
_atom_site_fract_y
_atom_site_fract_z
U1 0.000 0.200 0.250
Cd1 0.500 0.197 0.250
Mo1 0.200 0.331 0.908
Mo2 0.304 0.329 0.596
O1 0.000 0.442 0.750
O2 0.093 0.346 0.597
O3 0.127 0.075 0.871
O4 0.184 0.349 0.432
O5 0.222 0.199 0.249
O6 0.315 0.351 0.064
O7 0.367 0.077 0.625
O8 0.407 0.343 0.903
O9 0.500 0.436 0.750
```

Principal peaks in the range 2θ = 10–90°, low angle first:
2θ/deg, I_rel
13.16, 14
15.21, 14
21.54, 61
26.51, 100
27.64, 19
34.33, 18
34.46, 22
46.78, 19